No. 1
The following is a computed powder XRD pattern of Mn3BrF5. It was derived from DFT lattice parameters and positions (GGA+U), using a wavelength of 1.5418 Å.
Lines closer than 0.1° are merged.

Structure:
```
18
Lattice="3.449 -11.644 0.000 3.449 11.644 0.000 0.000 0.000 3.484" Properties=species:S:1:pos:R:3 pbc="T T T"
Mn 0.000 0.000 0.000
Mn 3.449 7.943 1.742
Mn 3.449 4.524 0.000
Mn 3.449 0.000 1.742
Mn 3.449 -4.524 0.000
Mn 3.449 -7.943 1.742
Br 3.449 2.541 1.742
Br 3.449 -2.541 1.742
F 1.294 4.088 0.000
F 3.449 10.172 1.742
F 3.449 5.708 1.742
F 2.093 0.000 0.000
F 1.294 -4.088 0.000
F 5.603 4.088 0.000
F 4.805 0.000 0.000
F 3.449 -5.708 1.742
F 3.449 -10.172 1.742
F 5.603 -4.088 0.000
```

Most intense lines, 2θ from 10° to 90°, low angle first:
| 2theta | I (rel.) |
| --- | --- |
| 25.83 | 100 |
| 34.64 | 37 |
| 36.66 | 34 |
| 37.11 | 37 |
| 45.61 | 49 |
| 60.02 | 35 |

No. 2
The following is a computed powder XRD pattern of Mn2Tl3Br2F5. It was derived from DFT lattice parameters and positions (GGA+U), using a wavelength of 1.5418 Å.
Lines closer than 0.1° are merged.

Structure:
```
12
Lattice="-2.221 2.221 12.732 2.221 -2.221 12.732 2.221 2.221 -12.732" Properties=species:S:1:pos:R:3 pbc="T T T"
Mn 0.000 0.000 2.111
Mn 0.000 0.000 23.354
Tl 0.000 0.000 8.501
Tl 0.000 0.000 12.732
Tl 0.000 0.000 16.964
Br 0.000 0.000 4.884
Br 0.000 0.000 20.581
F 0.000 0.000 0.000
F 2.221 0.000 2.077
F 2.221 0.000 10.656
F 0.000 2.221 2.077
F 0.000 2.221 10.656
```

Most intense lines, 2θ from 10° to 90°, low angle first:
| 2theta | I (rel.) |
| --- | --- |
| 20.93 | 42 |
| 28.42 | 100 |
| 31.80 | 75 |
| 35.56 | 78 |
| 40.62 | 55 |
| 52.49 | 37 |